The following is a simulated powder diffractogram of La4TlHgO. It was derived from DFT lattice parameters and positions (PBE), using Cu Kα.
No peak broadening, texture or thermal motion is included.

Most intense lines, 2θ from 10° to 90°, in order of rising 2θ:
| 2theta | d [Å] | I (rel.) |
| --- | --- | --- |
| 25.4 | 3.506 | 329 |
| 27.6 | 3.237 | 701 |
| 31.9 | 2.810 | 272 |
| 32.1 | 2.788 | 298 |
| 33.2 | 2.695 | 1000 |
| 36.2 | 2.479 | 706 |
| 49.0 | 1.859 | 325 |
| 49.2 | 1.853 | 180 |
| 52.2 | 1.751 | 166 |
| 63.2 | 1.471 | 160 |

Cell and atoms:
```
data_La4TlHgO
_chemical_formula_sum 'La16 Tl4 Hg4 O4'
_space_group_name_H-M_alt 'C m c m'
_space_group_IT_number 63
_space_group_name_Hall '-C 2c 2'
_cell_length_a 7.001
_cell_length_b 16.857
_cell_length_c 7.024
_cell_angle_alpha 90.00
_cell_angle_beta 90.00
_cell_angle_gamma 90.00
loop_
_atom_site_label
_atom_site_type_symbol
_atom_site_fract_x
_atom_site_fract_y
_atom_site_fract_z
_atom_site_occupancy
La1 La 0.000 0.071 0.250 1
La2 La 0.000 0.421 0.250 1
La3 La 0.250 0.250 0.000 1
Tl1 Tl 0.000 0.389 0.750 1
Hg1 Hg 0.000 0.116 0.750 1
O1 O 0.000 0.252 0.250 1
```

=====

The following is a simulated powder diffractogram of La2Hg2Os. It was derived from DFT lattice parameters and positions (PBE), using Cu Kα.
No peak broadening, texture or thermal motion is included.

Most intense lines, 2θ from 10° to 90°, in order of rising 2θ:
| 2theta | d [Å] | I (rel.) |
| --- | --- | --- |
| 20.8 | 4.272 | 301 |
| 29.6 | 3.021 | 1000 |
| 30.7 | 2.913 | 176 |
| 37.0 | 2.430 | 518 |
| 42.3 | 2.136 | 383 |
| 48.0 | 1.894 | 499 |
| 57.4 | 1.604 | 147 |
| 65.9 | 1.417 | 196 |
| 69.6 | 1.351 | 178 |
| 74.9 | 1.268 | 144 |

Cell and atoms:
```
data_La2Hg2Os
_chemical_formula_sum 'La4 Hg4 Os2'
_space_group_name_H-M_alt 'I 4/m m m'
_space_group_IT_number 139
_space_group_name_Hall '-I 4 2'
_cell_length_a 6.042
_cell_length_b 6.042
_cell_length_c 7.964
_cell_angle_alpha 90.00
_cell_angle_beta 90.00
_cell_angle_gamma 90.00
loop_
_atom_site_label
_atom_site_type_symbol
_atom_site_fract_x
_atom_site_fract_y
_atom_site_fract_z
_atom_site_occupancy
La1 La 0.000 0.500 0.250 1
Hg1 Hg 0.000 0.000 0.165 1
Os1 Os 0.000 0.000 0.500 1
```

=====

The following is a simulated powder diffractogram of La4Hg3Os. It was derived from DFT lattice parameters and positions (PBE), using Cu Kα.
No peak broadening, texture or thermal motion is included.

Most intense lines, 2θ from 10° to 90°, in order of rising 2θ:
| 2theta | d [Å] | I (rel.) |
| --- | --- | --- |
| 23.3 | 3.811 | 37 |
| 33.2 | 2.695 | 1000 |
| 41.0 | 2.200 | 13 |
| 47.7 | 1.906 | 183 |
| 53.8 | 1.704 | 18 |
| 59.4 | 1.556 | 383 |
| 69.8 | 1.347 | 119 |
| 74.7 | 1.270 | 9 |
| 79.5 | 1.205 | 167 |
| 89.0 | 1.100 | 44 |

Cell and atoms:
```
data_La4Hg3Os
_chemical_formula_sum 'La8 Hg6 Os2'
_space_group_name_H-M_alt 'I m -3 m'
_space_group_IT_number 229
_space_group_name_Hall '-I 4 2 3'
_cell_length_a 7.623
_cell_length_b 7.623
_cell_length_c 7.623
_cell_angle_alpha 90.00
_cell_angle_beta 90.00
_cell_angle_gamma 90.00
loop_
_atom_site_label
_atom_site_type_symbol
_atom_site_fract_x
_atom_site_fract_y
_atom_site_fract_z
_atom_site_occupancy
La1 La 0.250 0.250 0.250 1
Hg1 Hg 0.000 0.000 0.500 1
Os1 Os 0.000 0.000 0.000 1
```

=====

The following is a simulated powder diffractogram of La9HgPb2. It was derived from DFT lattice parameters and positions (PBE), using Cu Kα.
No peak broadening, texture or thermal motion is included.

Most intense lines, 2θ from 10° to 90°, in order of rising 2θ:
| 2theta | d [Å] | I (rel.) |
| --- | --- | --- |
| 30.6 | 2.920 | 1000 |
| 35.4 | 2.535 | 341 |
| 35.7 | 2.514 | 166 |
| 50.9 | 1.793 | 122 |
| 51.2 | 1.785 | 239 |
| 60.6 | 1.528 | 289 |
| 61.0 | 1.519 | 140 |
| 63.8 | 1.460 | 123 |
| 83.1 | 1.163 | 60 |
| 83.4 | 1.159 | 118 |

Cell and atoms:
```
data_La9HgPb2
_chemical_formula_sum 'La9 Hg1 Pb2'
_space_group_name_H-M_alt 'P 4/m m m'
_space_group_IT_number 123
_space_group_name_Hall '-P 4 2'
_cell_length_a 5.071
_cell_length_b 5.071
_cell_length_c 15.087
_cell_angle_alpha 90.00
_cell_angle_beta 90.00
_cell_angle_gamma 90.00
loop_
_atom_site_label
_atom_site_type_symbol
_atom_site_fract_x
_atom_site_fract_y
_atom_site_fract_z
_atom_site_occupancy
La1 La 0.000 0.000 0.000 1
La2 La 0.000 0.000 0.330 1
La3 La 0.000 0.500 0.165 1
La4 La 0.000 0.500 0.500 1
Hg1 Hg 0.500 0.500 0.000 1
Pb1 Pb 0.500 0.500 0.332 1
```

=====

The following is a simulated powder diffractogram of La3Hg2Pb. It was derived from DFT lattice parameters and positions (PBE), using Cu Kα.
No peak broadening, texture or thermal motion is included.

Most intense lines, 2θ from 10° to 90°, in order of rising 2θ:
| 2theta | d [Å] | I (rel.) |
| --- | --- | --- |
| 31.8 | 2.815 | 1000 |
| 32.9 | 2.720 | 465 |
| 43.8 | 2.065 | 99 |
| 47.3 | 1.924 | 171 |
| 55.9 | 1.645 | 194 |
| 58.1 | 1.588 | 366 |
| 66.4 | 1.407 | 116 |
| 73.0 | 1.296 | 81 |
| 78.0 | 1.225 | 79 |
| 78.6 | 1.217 | 78 |

Cell and atoms:
```
data_La3Hg2Pb
_chemical_formula_sum 'La3 Hg2 Pb1'
_space_group_name_H-M_alt 'P 4/m m m'
_space_group_IT_number 123
_space_group_name_Hall '-P 4 2'
_cell_length_a 3.847
_cell_length_b 3.847
_cell_length_c 12.389
_cell_angle_alpha 90.00
_cell_angle_beta 90.00
_cell_angle_gamma 90.00
loop_
_atom_site_label
_atom_site_type_symbol
_atom_site_fract_x
_atom_site_fract_y
_atom_site_fract_z
_atom_site_occupancy
La1 La 0.000 0.000 0.000 1
La2 La 0.000 0.000 0.325 1
Hg1 Hg 0.500 0.500 0.157 1
Pb1 Pb 0.500 0.500 0.500 1
```

=====

The following is a simulated powder diffractogram of La2Hg4Pb. It was derived from DFT lattice parameters and positions (PBE), using Cu Kα.
No peak broadening, texture or thermal motion is included.

Most intense lines, 2θ from 10° to 90°, in order of rising 2θ:
| 2theta | d [Å] | I (rel.) |
| --- | --- | --- |
| 32.6 | 2.747 | 922 |
| 33.4 | 2.686 | 1000 |
| 47.3 | 1.920 | 331 |
| 57.7 | 1.598 | 119 |
| 59.1 | 1.562 | 343 |
| 59.6 | 1.551 | 193 |
| 68.3 | 1.373 | 72 |
| 70.1 | 1.343 | 130 |
| 78.2 | 1.223 | 101 |
| 79.4 | 1.207 | 150 |

Cell and atoms:
```
data_La2Hg4Pb
_chemical_formula_sum 'La6 Hg12 Pb3'
_space_group_name_H-M_alt 'R -3 m'
_space_group_IT_number 166
_space_group_name_Hall '-R 3 2"'
_cell_length_a 5.3721
_cell_length_b 5.3721
_cell_length_c 23.8249
_cell_angle_alpha 90.00
_cell_angle_beta 90.00
_cell_angle_gamma 120.00
loop_
_atom_site_label
_atom_site_type_symbol
_atom_site_fract_x
_atom_site_fract_y
_atom_site_fract_z
_atom_site_occupancy
La1 La 0.0000 0.0000 0.2286 1
Hg1 Hg 0.0000 0.0000 0.0665 1
Hg2 Hg 0.0000 0.0000 0.3654 1
Pb1 Pb 0.0000 0.0000 0.5000 1
```

=====

The following is a simulated powder diffractogram of La3Hg2Pb2. It was derived from DFT lattice parameters and positions (PBE), using Cu Kα.
No peak broadening, texture or thermal motion is included.

Most intense lines, 2θ from 10° to 90°, in order of rising 2θ:
| 2theta | d [Å] | I (rel.) |
| --- | --- | --- |
| 20.1 | 4.416 | 191 |
| 23.9 | 3.726 | 207 |
| 26.2 | 3.396 | 398 |
| 31.5 | 2.840 | 1000 |
| 32.9 | 2.725 | 622 |
| 33.9 | 2.647 | 781 |
| 36.4 | 2.471 | 456 |
| 38.9 | 2.313 | 332 |
| 49.0 | 1.860 | 153 |
| 54.3 | 1.689 | 255 |

Cell and atoms:
```
data_La3Hg2Pb2
_chemical_formula_sum 'La3 Hg2 Pb2'
_space_group_name_H-M_alt 'P -1'
_space_group_IT_number 2
_cell_length_a 4.942
_cell_length_b 5.769
_cell_length_c 9.390
_cell_angle_alpha 72.35
_cell_angle_beta 74.93
_cell_angle_gamma 64.69
loop_
_space_group_symop_operation_xyz
'x,y,z'
'-x,-y,-z'
loop_
_atom_site_label
_atom_site_type_symbol
_atom_site_fract_x
_atom_site_fract_y
_atom_site_fract_z
_atom_site_occupancy
La1 La 0.000 0.000 0.000 1
La2 La 0.280 0.147 0.295 1
Hg1 Hg 0.049 0.266 0.633 1
Pb1 Pb 0.357 0.428 0.857 1
```

=====

The following is a simulated powder diffractogram of La4HgPb5. It was derived from DFT lattice parameters and positions (PBE), using Cu Kα.
No peak broadening, texture or thermal motion is included.

Most intense lines, 2θ from 10° to 90°, in order of rising 2θ:
| 2theta | d [Å] | I (rel.) |
| --- | --- | --- |
| 30.7 | 2.912 | 1000 |
| 31.5 | 2.837 | 914 |
| 33.8 | 2.653 | 353 |
| 35.7 | 2.513 | 376 |
| 38.6 | 2.332 | 272 |
| 50.0 | 1.824 | 248 |
| 53.6 | 1.709 | 212 |
| 58.0 | 1.590 | 134 |
| 61.1 | 1.517 | 145 |
| 61.6 | 1.506 | 139 |

Cell and atoms:
```
data_La4HgPb5
_chemical_formula_sum 'La8 Hg2 Pb10'
_space_group_name_H-M_alt 'C 1 2/m 1'
_space_group_IT_number 12
_cell_length_a 18.780
_cell_length_b 5.024
_cell_length_c 6.930
_cell_angle_alpha 90.00
_cell_angle_beta 107.92
_cell_angle_gamma 90.00
loop_
_space_group_symop_operation_xyz
'x,y,z'
'-x,-y,-z'
'-x,y,-z'
'x,-y,z'
'x+1/2,y+1/2,z'
'-x+1/2,-y+1/2,-z'
'-x+1/2,y+1/2,-z'
'x+1/2,-y+1/2,z'
loop_
_atom_site_label
_atom_site_type_symbol
_atom_site_fract_x
_atom_site_fract_y
_atom_site_fract_z
_atom_site_occupancy
La1 La 0.086 0.000 0.326 1
La2 La 0.201 0.500 0.106 1
Hg1 Hg 0.000 0.500 0.000 1
Pb1 Pb 0.000 0.500 0.500 1
Pb2 Pb 0.103 0.000 0.828 1
Pb3 Pb 0.203 0.500 0.596 1
```

=====

The following is a simulated powder diffractogram of La14HgPb. It was derived from DFT lattice parameters and positions (PBE), using Cu Kα.
No peak broadening, texture or thermal motion is included.

Most intense lines, 2θ from 10° to 90°, in order of rising 2θ:
| 2theta | d [Å] | I (rel.) |
| --- | --- | --- |
| 30.0 | 2.979 | 1000 |
| 34.2 | 2.620 | 175 |
| 35.0 | 2.560 | 332 |
| 49.8 | 1.831 | 243 |
| 50.4 | 1.810 | 118 |
| 58.7 | 1.573 | 146 |
| 59.8 | 1.547 | 284 |
| 62.3 | 1.489 | 123 |
| 81.0 | 1.187 | 116 |
| 81.9 | 1.176 | 58 |

Cell and atoms:
```
data_La14HgPb
_chemical_formula_sum 'La14 Hg1 Pb1'
_space_group_name_H-M_alt 'P 4/m m m'
_space_group_IT_number 123
_space_group_name_Hall '-P 4 2'
_cell_length_a 7.241
_cell_length_b 7.241
_cell_length_c 10.480
_cell_angle_alpha 90.00
_cell_angle_beta 90.00
_cell_angle_gamma 90.00
loop_
_atom_site_label
_atom_site_type_symbol
_atom_site_fract_x
_atom_site_fract_y
_atom_site_fract_z
_atom_site_occupancy
La1 La 0.000 0.000 0.000 1
La2 La 0.000 0.500 0.000 1
La3 La 0.000 0.500 0.500 1
La4 La 0.250 0.250 0.257 1
La5 La 0.500 0.500 0.000 1
Hg1 Hg 0.000 0.000 0.500 1
Pb1 Pb 0.500 0.500 0.500 1
```

=====

The following is a simulated powder diffractogram of LaTm2Hg2Pb2. It was derived from DFT lattice parameters and positions (PBE), using Cu Kα.
No peak broadening, texture or thermal motion is included.

Most intense lines, 2θ from 10° to 90°, in order of rising 2θ:
| 2theta | d [Å] | I (rel.) |
| --- | --- | --- |
| 19.9 | 4.457 | 104 |
| 30.9 | 2.890 | 1000 |
| 35.2 | 2.551 | 1000 |
| 39.4 | 2.288 | 118 |
| 40.7 | 2.214 | 108 |
| 47.5 | 1.913 | 310 |
| 60.5 | 1.530 | 304 |
| 63.1 | 1.473 | 188 |
| 74.4 | 1.276 | 118 |
| 82.7 | 1.167 | 129 |

Cell and atoms:
```
data_LaTm2Hg2Pb2
_chemical_formula_sum 'La3 Tm6 Hg6 Pb6'
_space_group_name_H-M_alt 'R -3 m'
_space_group_IT_number 166
_space_group_name_Hall '-R 3 2"'
_cell_length_a 5.1027
_cell_length_b 5.1027
_cell_length_c 26.7447
_cell_angle_alpha 90.00
_cell_angle_beta 90.00
_cell_angle_gamma 120.00
loop_
_atom_site_label
_atom_site_type_symbol
_atom_site_fract_x
_atom_site_fract_y
_atom_site_fract_z
_atom_site_occupancy
La1 La 0.0000 0.0000 0.0000 1
Tm1 Tm 0.0000 0.0000 0.1327 1
Hg1 Hg 0.0000 0.0000 0.4388 1
Pb1 Pb 0.0000 0.0000 0.2675 1
```

=====

The following is a simulated powder diffractogram of LaHgPd6. It was derived from DFT lattice parameters and positions (PBE), using Cu Kα.
No peak broadening, texture or thermal motion is included.

Most intense lines, 2θ from 10° to 90°, in order of rising 2θ:
| 2theta | d [Å] | I (rel.) |
| --- | --- | --- |
| 15.3 | 5.807 | 28 |
| 21.6 | 4.106 | 29 |
| 37.6 | 2.392 | 1000 |
| 42.9 | 2.109 | 173 |
| 44.1 | 2.053 | 317 |
| 63.2 | 1.471 | 215 |
| 64.1 | 1.452 | 102 |
| 75.1 | 1.266 | 130 |
| 76.8 | 1.241 | 241 |
| 80.3 | 1.196 | 108 |

Cell and atoms:
```
data_LaHgPd6
_chemical_formula_sum 'La1 Hg1 Pd6'
_space_group_name_H-M_alt 'P 4/m m m'
_space_group_IT_number 123
_space_group_name_Hall '-P 4 2'
_cell_length_a 5.807
_cell_length_b 5.807
_cell_length_c 4.219
_cell_angle_alpha 90.00
_cell_angle_beta 90.00
_cell_angle_gamma 90.00
loop_
_atom_site_label
_atom_site_type_symbol
_atom_site_fract_x
_atom_site_fract_y
_atom_site_fract_z
_atom_site_occupancy
La1 La 0.000 0.000 0.000 1
Hg1 Hg 0.500 0.500 0.000 1
Pd1 Pd 0.000 0.500 0.000 1
Pd2 Pd 0.257 0.257 0.500 1
```

=====

The following is a simulated powder diffractogram of La4HgPd3. It was derived from DFT lattice parameters and positions (PBE), using Cu Kα.
No peak broadening, texture or thermal motion is included.

Most intense lines, 2θ from 10° to 90°, in order of rising 2θ:
| 2theta | d [Å] | I (rel.) |
| --- | --- | --- |
| 30.3 | 2.949 | 1000 |
| 31.3 | 2.858 | 302 |
| 32.6 | 2.748 | 182 |
| 36.6 | 2.453 | 235 |
| 37.7 | 2.389 | 342 |
| 37.8 | 2.382 | 769 |
| 45.7 | 1.983 | 223 |
| 49.8 | 1.832 | 199 |
| 60.7 | 1.526 | 191 |
| 74.3 | 1.276 | 136 |

Cell and atoms:
```
data_La4HgPd3
_chemical_formula_sum 'La4 Hg1 Pd3'
_space_group_name_H-M_alt 'P m m 2'
_space_group_IT_number 25
_cell_length_a 3.967
_cell_length_b 4.778
_cell_length_c 11.431
_cell_angle_alpha 90.00
_cell_angle_beta 90.00
_cell_angle_gamma 90.00
loop_
_space_group_symop_operation_xyz
'x,y,z'
'-x,-y,z'
'-x,y,z'
'x,-y,z'
loop_
_atom_site_label
_atom_site_type_symbol
_atom_site_fract_x
_atom_site_fract_y
_atom_site_fract_z
_atom_site_occupancy
La1 La 0.000 0.000 0.000 1
La2 La 0.000 0.500 0.257 1
La3 La 0.500 0.000 0.475 1
La4 La 0.500 0.500 0.766 1
Hg1 Hg 0.000 0.000 0.704 1
Pd1 Pd 0.000 0.500 0.533 1
Pd2 Pd 0.500 0.000 0.210 1
Pd3 Pd 0.500 0.500 0.039 1
```